[1]
The following is a simulated X-ray diffraction stick pattern of SmErSi4Os2. It was derived from the PBE geometry in OQMD, using Cu Kα, 1.54184 Å.
Peak positions follow from Bragg's law for the DFT cell and can differ from measured ones.

Crystal structure
```
SmErSi4Os2
1.0
4.437 0.000 0.000
0.000 4.101 0.000
-1.675 0.000 7.980
Sm Er Si Os
1 1 4 2
direct
0.000 0.000 0.000
0.179 0.500 0.405
0.246 0.000 0.692
0.548 0.500 0.109
0.622 0.000 0.289
0.918 0.500 0.703
0.466 0.500 0.813
0.698 0.000 0.582
```

Peak list (6 most intense, 2θ from 5° to 70°, low angle first)
2θ = 11.09°, intensity 68
2θ = 30.49°, intensity 100
2θ = 31.28°, intensity 78
2θ = 33.50°, intensity 84
2θ = 35.78°, intensity 55
2θ = 40.42°, intensity 51

[2]
The following is a simulated X-ray diffraction stick pattern of LiMgAg2. It was derived from the PBE geometry in OQMD, using Cu Kα, 1.54184 Å.
Peak positions follow from Bragg's law for the DFT cell and can differ from measured ones.

Crystal structure
```
LiMgAg2
1.0
4.530 0.000 0.000
-2.265 3.923 0.000
0.000 0.000 8.445
Li Mg Ag
2 2 4
direct
0.000 0.000 0.000
0.000 0.000 0.500
0.333 0.667 0.250
0.667 0.333 0.750
0.333 0.667 0.584
0.333 0.667 0.916
0.667 0.333 0.084
0.667 0.333 0.416
```

Peak list (6 most intense, 2θ from 5° to 70°, low angle first)
2θ = 21.04°, intensity 14
2θ = 22.67°, intensity 66
2θ = 25.03°, intensity 41
2θ = 39.40°, intensity 100
2θ = 39.80°, intensity 67
2θ = 57.25°, intensity 32

[3]
The following is a simulated X-ray diffraction stick pattern of SmPuTa. It was derived from the PBE geometry in OQMD, using Cu Kα, 1.54184 Å.
Peak positions follow from Bragg's law for the DFT cell and can differ from measured ones.

Crystal structure
```
SmPuTa
1.0
0.000 3.326 3.326
3.326 0.000 3.326
3.326 3.326 0.000
Sm Pu Ta
1 1 1
direct
0.000 0.000 0.000
0.250 0.250 0.250
0.500 0.500 0.500
```

Peak list (6 most intense, 2θ from 5° to 70°, low angle first)
2θ = 23.16°, intensity 42
2θ = 38.27°, intensity 100
2θ = 45.21°, intensity 22
2θ = 55.24°, intensity 18
2θ = 60.69°, intensity 10
2θ = 69.19°, intensity 36